[1]
Simulated X-ray powder pattern
Compound: CaMnOs
Radiation: Cu Kα (weighted mean of Kα1 and Kα2)
Structure: a DFT-relaxed cell (GGA-PBE, Alexandria)
Kinematic intensities with the Lorentz-polarization factor, no thermal factor.

Most intense lines, 10 to 80 degrees two-theta, sorted by position:
2theta	I (rel.)
16.55	1000
25.70	334
32.00	195
33.47	232
35.10	501
39.66	557
40.08	346
43.25	367
49.28	136
49.79	143
52.84	356
65.75	158

Crystal structure
Cell: 5.842 5.842 5.842 Å, 151.29 143.46 47.12°
Positions (direct):
Ca: 0.000 0.000 0.000
Mn: 0.715 0.715 0.000
Os: 0.292 0.292 0.000


[2]
Simulated X-ray powder pattern
Compound: Ca2Mn2Pb5
Radiation: Cu Kα (weighted mean of Kα1 and Kα2)
Structure: a DFT-relaxed cell (GGA-PBE, Alexandria)
Kinematic intensities with the Lorentz-polarization factor, no thermal factor.

Most intense lines, 10 to 80 degrees two-theta, sorted by position:
2theta	I (rel.)
21.48	312
24.77	273
30.50	564
31.25	111
32.37	417
32.95	1000
38.20	153
46.84	319
50.92	135
55.70	240
56.57	102
58.12	117

Crystal structure
Cell: 7.194 12.480 5.531 Å, 90.00 90.00 90.00°
Positions (direct):
Ca: 0.118 0.134 0.000
Ca: 0.382 0.634 0.000
Ca: 0.618 0.366 0.000
Ca: 0.882 0.866 0.000
Mn: 0.143 0.430 0.500
Mn: 0.357 0.930 0.500
Mn: 0.643 0.070 0.500
Mn: 0.857 0.570 0.500
Pb: 0.000 0.000 0.500
Pb: 0.125 0.395 0.000
Pb: 0.145 0.726 0.500
Pb: 0.355 0.226 0.500
Pb: 0.375 0.895 0.000
Pb: 0.500 0.500 0.500
Pb: 0.625 0.105 0.000
Pb: 0.645 0.774 0.500
Pb: 0.855 0.274 0.500
Pb: 0.875 0.605 0.000